# Na6MnSe4
Calculated powder diffractogram, CuKα. Input: a cell relaxed with GGA-PBE.

Main lines, in order of rising 2θ (2θ = 10–90°):
| Position (°2θ) | I_rel |
| --- | --- |
| 10.8 | 41 |
| 21.8 | 48 |
| 25.0 | 88 |
| 33.0 | 72 |
| 38.2 | 100 |
| 43.4 | 53 |

```
Na6MnSe4
1.0
9.4209 0.0000 0.0000
-4.7104 8.1587 0.0000
0.0000 0.0000 7.2749
Na Mn Se
12 2 8
direct
0.0621 0.5311 0.0000
0.1480 0.2959 0.6691
0.1480 0.8520 0.6691
0.2959 0.1480 0.1691
0.4689 0.5311 0.0000
0.4689 0.9379 0.0000
0.5311 0.0621 0.5000
0.5311 0.4689 0.5000
0.7041 0.8520 0.6691
0.8520 0.1480 0.1691
0.8520 0.7041 0.1691
0.9379 0.4689 0.5000
0.3333 0.6667 0.3809
0.6667 0.3333 0.8809
0.1858 0.3717 0.2727
0.1858 0.8142 0.2727
0.3333 0.6667 0.7302
0.3717 0.1858 0.7727
0.6283 0.8142 0.2727
0.6667 0.3333 0.2302
0.8142 0.1858 0.7727
0.8142 0.6283 0.7727
```

# SmNi2
Calculated powder diffractogram, CuKα. Input: a cell relaxed with GGA-PBE.

Main lines, in order of rising 2θ (2θ = 10–90°):
| Position (°2θ) | I_rel |
| --- | --- |
| 35.0 | 61 |
| 41.3 | 100 |
| 43.3 | 17 |
| 62.8 | 22 |
| 67.1 | 30 |
| 74.0 | 23 |

```
SmNi2
1.0
0.0000 3.6221 3.6221
3.6221 0.0000 3.6221
3.6221 3.6221 0.0000
Sm Ni
2 4
direct
0.1250 0.1250 0.1250
0.8750 0.8750 0.8750
0.0000 0.5000 0.5000
0.5000 0.0000 0.5000
0.5000 0.5000 0.0000
0.5000 0.5000 0.5000
```

# Mg6VB
Calculated powder diffractogram, CuKα. Input: a cell relaxed with GGA-PBE.

Main lines, in order of rising 2θ (2θ = 10–90°):
| Position (°2θ) | I_rel |
| --- | --- |
| 17.4 | 23 |
| 35.2 | 37 |
| 37.8 | 45 |
| 38.1 | 77 |
| 40.2 | 100 |
| 52.7 | 22 |

```
Mg6VB
1.0
4.7548 0.0000 0.0000
0.0000 5.7619 0.0000
0.0000 0.0000 10.8909
Mg V B
12 2 2
direct
0.0000 0.0000 0.0000
0.0000 0.0000 0.4855
0.0000 0.2498 0.2565
0.0000 0.2502 0.7565
0.0000 0.5000 0.5000
0.0000 0.5000 0.9855
0.0000 0.7502 0.2565
0.0000 0.7498 0.7565
0.5000 0.2483 0.1004
0.5000 0.2517 0.6004
0.5000 0.7483 0.6004
0.5000 0.7517 0.1004
0.5000 0.0000 0.8490
0.5000 0.5000 0.3490
0.5000 0.0000 0.3295
0.5000 0.5000 0.8295
```

# MnAg2SnS4
Calculated powder diffractogram, CuKα. Input: a cell relaxed with GGA-PBE.

Main lines, in order of rising 2θ (2θ = 10–90°):
| Position (°2θ) | I_rel |
| --- | --- |
| 25.5 | 64 |
| 26.3 | 66 |
| 28.1 | 52 |
| 28.7 | 100 |
| 44.0 | 52 |
| 47.9 | 55 |

```
MnAg2SnS4
1.0
8.0020 0.0000 0.0000
0.0000 7.1984 0.0000
0.0000 0.0000 6.7867
Mn Ag Sn S
2 4 2 8
direct
0.0000 0.1542 0.0000
0.5000 0.8458 0.5000
0.2482 0.6725 0.0122
0.2518 0.3275 0.5122
0.7482 0.3275 0.5122
0.7518 0.6725 0.0122
0.0000 0.8390 0.4960
0.5000 0.1610 0.9960
0.0000 0.1514 0.3547
0.0000 0.8488 0.8577
0.2464 0.3287 0.8891
0.2536 0.6713 0.3891
0.5000 0.1512 0.3577
0.5000 0.8486 0.8547
0.7464 0.6713 0.3891
0.7536 0.3287 0.8891
```

# Hf4N3
Calculated powder diffractogram, CuKα. Input: a cell relaxed with GGA-PBE.

Main lines, in order of rising 2θ (2θ = 10–90°):
| Position (°2θ) | I_rel |
| --- | --- |
| 34.2 | 100 |
| 39.5 | 21 |
| 39.8 | 42 |
| 57.3 | 28 |
| 57.5 | 14 |
| 68.7 | 28 |

```
Hf4N3
1.0
4.5318 0.0000 0.0000
0.0000 4.5318 0.0000
0.0000 0.0000 9.1187
Hf N
8 6
direct
0.0000 0.0000 0.2392
0.0000 0.0000 0.7608
0.0000 0.5000 0.0000
0.0000 0.5000 0.5000
0.5000 0.0000 0.0000
0.5000 0.0000 0.5000
0.5000 0.5000 0.2608
0.5000 0.5000 0.7392
0.0000 0.0000 0.0000
0.0000 0.5000 0.2500
0.0000 0.5000 0.7500
0.5000 0.0000 0.2500
0.5000 0.0000 0.7500
0.5000 0.5000 0.5000
```

# Sr4Nb5O15
Calculated powder diffractogram, CuKα. Input: a cell relaxed with GGA-PBE.

Main lines, in order of rising 2θ (2θ = 10–90°):
| Position (°2θ) | I_rel |
| --- | --- |
| 21.9 | 11 |
| 31.1 | 100 |
| 44.6 | 37 |
| 55.4 | 39 |
| 65.0 | 22 |
| 73.8 | 17 |

```
Sr4Nb5O15
1.0
8.6133 -2.8726 0.0000
8.6133 2.8726 0.0000
-1.9134 0.0000 6.7662
Sr Nb O
4 5 15
direct
0.0981 0.0981 0.3946
0.3019 0.3019 0.1988
0.6981 0.6981 0.8012
0.9019 0.9019 0.6054
0.0977 0.0977 0.8998
0.3020 0.3020 0.7042
0.5000 0.5000 0.5000
0.6980 0.6980 0.2958
0.9023 0.9023 0.1002
0.0000 0.0000 0.0000
0.0000 0.5000 0.5000
0.0891 0.6028 0.8973
0.1922 0.7054 0.3082
0.2001 0.2001 0.7996
0.2946 0.8078 0.6918
0.3972 0.3972 0.5899
0.3972 0.9109 0.1027
0.5000 0.0000 0.5000
0.6028 0.0891 0.8973
0.6028 0.6028 0.4101
0.7054 0.1922 0.3082
0.7999 0.7999 0.2004
0.8078 0.2946 0.6918
0.9109 0.3972 0.1027
```

# Cr3Ga2N4
Calculated powder diffractogram, CuKα. Input: a cell relaxed with GGA-PBE.

Main lines, in order of rising 2θ (2θ = 10–90°):
| Position (°2θ) | I_rel |
| --- | --- |
| 29.2 | 74 |
| 34.9 | 100 |
| 39.6 | 48 |
| 41.0 | 38 |
| 43.6 | 51 |
| 49.6 | 42 |

```
Cr3Ga2N4
1.0
6.3455 0.0000 0.0000
0.0000 8.7961 0.0000
0.0000 0.0000 7.6144
Cr Ga N
12 8 16
direct
0.0676 0.2387 0.0852
0.0676 0.2613 0.4148
0.2500 0.0000 0.1926
0.2500 0.5000 0.3074
0.4324 0.7387 0.4148
0.4324 0.7613 0.0852
0.5676 0.2387 0.9148
0.5676 0.2613 0.5852
0.7500 0.0000 0.8074
0.7500 0.5000 0.6926
0.9324 0.7387 0.5852
0.9324 0.7613 0.9148
0.0517 0.2500 0.7500
0.2500 0.0000 0.5979
0.2500 0.5000 0.9021
0.4483 0.7500 0.7500
0.5517 0.2500 0.2500
0.7500 0.0000 0.4021
0.7500 0.5000 0.0979
0.9483 0.7500 0.2500
0.0030 0.0936 0.2726
0.0030 0.4064 0.2274
0.1521 0.6550 0.4437
0.1521 0.8450 0.0563
0.3479 0.1550 0.0563
0.3479 0.3450 0.4437
0.4970 0.5936 0.2274
0.4970 0.9064 0.2726
0.5030 0.0936 0.7274
0.5030 0.4064 0.7726
0.6521 0.6550 0.5563
0.6521 0.8450 0.9437
0.8479 0.1550 0.9437
0.8479 0.3450 0.5563
0.9970 0.5936 0.7726
0.9970 0.9064 0.7274
```